No. 1
Structure and calculated powder diffractogram of Nd2Si2I (a DFT-relaxed cell (PBE, Alexandria); copper Kα).

The 10 most intense peaks (2θ from 10° to 90°), by intensity:
Position (°2θ), I/Imax
35.16, 100.0
23.22, 56.7
29.83, 56.4
42.84, 28.7
30.61, 25.5
23.94, 20.2
56.01, 18.7
63.19, 18.0
44.13, 14.9
50.45, 13.9

Cell and atoms:
a = 9.870 Å, b = 9.870 Å, c = 8.208 Å
α = 114.52°, β = 114.52°, γ = 22.95°
Fractional coordinates of all 10 atoms:
Nd (0.153, 0.153, 0.153)
Nd (0.153, 0.153, 0.653)
Nd (0.847, 0.847, 0.347)
Nd (0.847, 0.847, 0.847)
Si (0.291, 0.291, 0.041)
Si (0.291, 0.291, 0.541)
Si (0.709, 0.709, 0.459)
Si (0.709, 0.709, 0.959)
I (0.009, 0.991, 0.750)
I (0.991, 0.009, 0.250)


No. 2
Structure and calculated powder diffractogram of Ba6Na2HO (a DFT-relaxed cell (PBE, Alexandria); copper Kα).

The 10 most intense peaks (2θ from 10° to 90°), by intensity:
Position (°2θ), I/Imax
25.94, 100.0
31.25, 33.4
42.10, 27.5
52.48, 26.5
27.50, 22.8
47.68, 19.4
15.48, 14.4
44.78, 13.5
53.35, 13.1
67.47, 12.5

Cell and atoms:
a = 8.652 Å, b = 8.652 Å, c = 8.652 Å
α = 124.21°, β = 124.21°, γ = 82.85°
Fractional coordinates of all 10 atoms:
Ba (0.000, 0.000, 0.000)
Ba (0.492, 0.492, 0.000)
Ba (0.494, 0.496, 0.526)
Ba (0.496, 0.970, 0.001)
Ba (0.968, 0.494, 0.999)
Ba (0.970, 0.968, 0.474)
Na (0.480, 0.980, 0.500)
Na (0.980, 0.480, 0.500)
H (0.225, 0.225, 0.000)
O (0.689, 0.689, 0.000)


No. 3
Structure and calculated powder diffractogram of Dy6Er2Th (a DFT-relaxed cell (PBE, Alexandria); copper Kα).

The 10 most intense peaks (2θ from 10° to 90°), by intensity:
Position (°2θ), I/Imax
33.76, 100.0
32.11, 65.3
30.76, 51.0
28.98, 46.3
61.07, 41.8
51.36, 36.8
57.70, 30.7
42.77, 29.3
62.89, 16.9
85.40, 14.8

Cell and atoms:
a = 3.558 Å, b = 3.558 Å, c = 26.160 Å
α = 90.00°, β = 90.00°, γ = 120.00°
Fractional coordinates of all 9 atoms:
Dy (0.000, 0.000, 0.066)
Dy (0.000, 0.000, 0.280)
Dy (0.000, 0.000, 0.720)
Dy (0.000, 0.000, 0.934)
Dy (0.333, 0.667, 0.389)
Dy (0.333, 0.667, 0.611)
Er (0.333, 0.667, 0.171)
Er (0.333, 0.667, 0.829)
Th (0.000, 0.000, 0.500)


No. 4
Structure and calculated powder diffractogram of Si2AgN3 (a DFT-relaxed cell (PBE, Alexandria); copper Kα).

The 10 most intense peaks (2θ from 10° to 90°), by intensity:
Position (°2θ), I/Imax
37.29, 100.0
37.11, 97.7
32.45, 77.8
36.19, 64.3
41.82, 58.0
18.49, 56.6
25.82, 54.5
40.97, 50.2
18.60, 49.2
49.39, 35.3

Cell and atoms:
a = 5.518 Å, b = 5.518 Å, c = 4.964 Å
α = 90.00°, β = 90.00°, γ = 60.40°
Fractional coordinates of all 12 atoms:
Si (0.021, 0.322, 0.000)
Si (0.322, 0.021, 0.500)
Si (0.678, 0.979, 0.000)
Si (0.979, 0.678, 0.500)
Ag (0.364, 0.636, 0.002)
Ag (0.636, 0.364, 0.502)
N (0.086, 0.346, 0.348)
N (0.218, 0.782, 0.444)
N (0.346, 0.086, 0.848)
N (0.654, 0.914, 0.348)
N (0.782, 0.218, 0.944)
N (0.914, 0.654, 0.848)


Q: Which formula does entry 4 have?
A: Si2AgN3


Q: What is the formula in the third record?
A: Dy6Er2Th


What did the fourth record say?
Structure and calculated powder diffractogram of Si2AgN3 (a DFT-relaxed cell (PBE, Alexandria); copper Kα).

The 10 most intense peaks (2θ from 10° to 90°), by intensity:
Position (°2θ), I/Imax
37.29, 100.0
37.11, 97.7
32.45, 77.8
36.19, 64.3
41.82, 58.0
18.49, 56.6
25.82, 54.5
40.97, 50.2
18.60, 49.2
49.39, 35.3

Cell and atoms:
a = 5.518 Å, b = 5.518 Å, c = 4.964 Å
α = 90.00°, β = 90.00°, γ = 60.40°
Fractional coordinates of all 12 atoms:
Si (0.021, 0.322, 0.000)
Si (0.322, 0.021, 0.500)
Si (0.678, 0.979, 0.000)
Si (0.979, 0.678, 0.500)
Ag (0.364, 0.636, 0.002)
Ag (0.636, 0.364, 0.502)
N (0.086, 0.346, 0.348)
N (0.218, 0.782, 0.444)
N (0.346, 0.086, 0.848)
N (0.654, 0.914, 0.348)
N (0.782, 0.218, 0.944)
N (0.914, 0.654, 0.848)